Calculated X-ray powder pattern
Compound: Rb2CrPbBr6
Radiation: Cu Kα X-rays
Structure: a DFT-relaxed cell (GGA-PBE, Alexandria)

The 12 most intense peaks (10° ≤ 2θ ≤ 90°), sorted by position:
2θ (°)	I/Imax
15.75	42
22.35	43
26.27	21
27.46	38
31.81	100
34.75	20
35.68	20
39.22	19
45.60	70
56.67	24
75.53	15
75.63	14

Structural model:
Cell: 7.957 7.957 7.952 Å, 119.94 119.94 90.13°
Positions (direct):
1 Rb 0.000 0.000 0.000
2 Rb 0.500 0.500 0.000
3 Cr 0.749 0.251 0.500
4 Pb 0.249 0.751 0.500
5 Br 0.514 0.016 0.032
6 Br 0.515 0.485 0.500
7 Br 0.516 0.018 0.501
8 Br 0.982 0.484 0.499
9 Br 0.984 0.016 0.500
10 Br 0.984 0.486 0.968